This entry pairs a crystal structure of TbPm2Sm4Y2 with its theoretical X-ray diffraction stick pattern. Radiation: a wavelength of 1.5418 Å. Structure: a structure optimized by DFT (GGA-PBE).
Intensities are scaled so that the largest is 100.

Cell and atoms:
Cell lengths 9.6318, 9.6318, 9.6945 Å; angles 115.22, 115.22, 21.83 degrees
Fractional coordinates of all 9 atoms:
1 Tb 0.0000 0.0000 0.0000
2 Pm 0.3339 0.3339 0.0003
3 Pm 0.6661 0.6661 0.9997
4 Sm 0.1854 0.1854 0.3336
5 Sm 0.4815 0.4815 0.6665
6 Sm 0.5185 0.5185 0.3335
7 Sm 0.8146 0.8146 0.6664
8 Y 0.1476 0.1476 0.6665
9 Y 0.8524 0.8524 0.3335

Main lines, low angle first (2θ from 10° to 90°):
2theta	I/Imax
28.49	41
30.71	49
31.47	100
33.14	87
39.66	17
50.06	38
57.23	18
59.91	29
60.34	15
85.35	17

This entry pairs a crystal structure of Pm3SmTc with its theoretical X-ray diffraction stick pattern. Radiation: a wavelength of 1.5418 Å. Structure: a structure optimized by DFT (GGA-PBE).
Intensities are scaled so that the largest is 100.

Cell and atoms:
Cell lengths 6.4996, 6.4996, 13.1734 Å; angles 111.02, 111.02, 35.80 degrees
Fractional coordinates of all 10 atoms:
1 Pm 0.0000 0.0000 0.0000
2 Pm 0.0231 0.0231 0.3734
3 Pm 0.3331 0.3331 0.7617
4 Pm 0.3580 0.3580 0.1336
5 Pm 0.6888 0.6888 0.2358
6 Pm 0.7996 0.7996 0.5140
7 Sm 0.5553 0.5553 0.6211
8 Sm 0.6686 0.6686 0.8979
9 Tc 0.3603 0.3603 0.3747
10 Tc 0.9969 0.9969 0.7615

Main lines, low angle first (2θ from 10° to 90°):
2theta	I/Imax
29.34	38
30.25	98
31.21	78
31.41	88
31.73	52
32.43	100
33.91	53
34.08	56
45.40	51
52.87	47